This entry pairs a crystal structure of Sc3MnO7 with its theoretical powder diffraction line list. Radiation: a wavelength of 1.5418 Å. Structure: a GGA+U-relaxed structure.
Neutral-atom scattering factors, no anomalous dispersion.

The 6 most intense peaks (2θ from 10° to 80°), in order of rising 2θ:
2θ/deg, intensity
31.07, 1000
31.44, 905
36.26, 175
52.18, 732
52.74, 212
62.48, 218

Unit cell a=7.065 b=9.929 c=6.943 alpha=90.00 beta=90.00 gamma=90.00
Space group C222_1 (No. 20)
Unique sites:
Sc: 0.041 0.000 0.000 x4
Sc: 0.233 0.273 0.757 x8
Mn: 0.002 0.500 0.500 x4
O: 0.000 0.131 0.250 x4
O: 0.000 0.136 0.750 x4
O: 0.000 0.421 0.750 x4
O: 0.196 0.372 0.041 x8
O: 0.208 0.375 0.471 x8